Record 1
For Na2MgCoCl6, DFT lattice parameters and positions (PBE) gives the theoretical X-ray powder pattern in this record (copper Kα).
Neutral-atom scattering factors, no anomalous dispersion.

Principal peaks in the range 10 to 90 degrees two-theta, sorted by position:
d (Å), I (rel.)
5.498, 15.6
4.807, 61.5
3.450, 21.8
2.891, 100.0
2.860, 11.7
2.403, 53.8
2.175, 71.0
1.953, 16.2
1.935, 37.7
1.657, 15.4
1.603, 12.2
1.272, 14.9

Crystal structure
```
data_Na2MgCoCl6
_chemical_formula_sum 'Na6 Mg3 Co3 Cl18'
_cell_length_a 6.7014
_cell_length_b 6.7014
_cell_length_c 17.1578
_cell_angle_alpha 90.00
_cell_angle_beta 90.00
_cell_angle_gamma 120.00
_space_group_name_H-M_alt 'R 3'
_space_group_IT_number 146
_space_group_name_Hall 'R 3'
loop_
_atom_site_label
_atom_site_fract_x
_atom_site_fract_y
_atom_site_fract_z
Na1 0.0000 0.0000 0.0000
Na2 0.0000 0.0000 0.5001
Mg1 0.0000 0.0000 0.2116
Co1 0.0000 0.0000 0.7113
Cl1 0.0618 0.3341 0.7865
Cl2 0.0663 0.7220 0.2890
```

=====

Record 2
For RbMnCoCl6, DFT lattice parameters and positions (PBE) gives the theoretical X-ray powder pattern in this record (copper Kα).
Neutral-atom scattering factors, no anomalous dispersion.

Principal peaks in the range 10 to 90 degrees two-theta, sorted by position:
d (Å), I (rel.)
7.084, 59.9
4.662, 54.1
4.634, 22.4
4.481, 72.2
4.216, 100.0
3.181, 27.0
2.987, 22.8
2.969, 34.2
2.565, 38.6
2.475, 25.6
2.439, 32.9
2.254, 46.6

Crystal structure
```
data_RbMnCoCl6
_chemical_formula_sum 'Rb1 Mn1 Co1 Cl6'
_cell_length_a 6.348
_cell_length_b 6.626
_cell_length_c 7.121
_cell_angle_alpha 89.37
_cell_angle_beta 84.54
_cell_angle_gamma 63.88
_space_group_name_H-M_alt 'P 1'
_space_group_IT_number 1
_space_group_name_Hall 'P 1'
loop_
_atom_site_label
_atom_site_fract_x
_atom_site_fract_y
_atom_site_fract_z
Rb1 0.000 0.000 0.000
Mn1 0.693 0.615 0.505
Co1 0.390 0.212 0.505
Cl1 0.045 0.366 0.690
Cl2 0.366 0.949 0.322
Cl3 0.456 0.582 0.746
Cl4 0.593 0.368 0.325
Cl5 0.681 0.944 0.664
Cl6 0.960 0.589 0.266
```

=====

Record 3
For RbMnCo2Cl8, DFT lattice parameters and positions (PBE) gives the theoretical X-ray powder pattern in this record (copper Kα).
Neutral-atom scattering factors, no anomalous dispersion.

Principal peaks in the range 10 to 90 degrees two-theta, sorted by position:
d (Å), I (rel.)
4.340, 100.0
3.170, 37.1
3.150, 28.0
3.005, 54.3
2.977, 19.5
2.632, 37.3
2.560, 23.4
1.992, 22.5
1.894, 41.7
1.830, 38.2
1.582, 17.3
1.489, 13.8

Crystal structure
```
data_RbMnCo2Cl8
_chemical_formula_sum 'Rb3 Mn3 Co6 Cl24'
_cell_length_a 6.3397
_cell_length_b 6.3397
_cell_length_c 28.3458
_cell_angle_alpha 90.00
_cell_angle_beta 90.00
_cell_angle_gamma 120.00
_space_group_name_H-M_alt 'R -3'
_space_group_IT_number 148
_space_group_name_Hall '-R 3'
loop_
_atom_site_label
_atom_site_fract_x
_atom_site_fract_y
_atom_site_fract_z
Rb1 0.0000 0.0000 0.0000
Mn1 0.0000 0.0000 0.5000
Co1 0.0000 0.0000 0.2424
Cl1 0.0000 0.0000 0.3195
Cl2 0.0009 0.6772 0.4473
```